Entry 1:
Diffraction record for NaCu4S4. The powder XRD pattern is simulated, not measured: it uses DFT lattice parameters and positions (GGA-PBE) and CuKα.
Peak positions follow from Bragg's law for the DFT cell and can differ from measured ones.

Structure:
a b c (Å): 3.820 3.820 12.156
angles (deg): 90.00 90.00 120.00
Fractional positions:
Na  0.000  0.000  0.000
Cu  0.333  0.667  0.189
Cu  0.333  0.667  0.648
Cu  0.667  0.333  0.352
Cu  0.667  0.333  0.811
S  0.000  0.000  0.413
S  0.000  0.000  0.587
S  0.333  0.667  0.841
S  0.667  0.333  0.159

Largest 10 diffraction maxima, in order of rising 2θ, 10 to 80 degrees two-theta:
(hkl), Position (°2θ), I/Imax
0 0 2, 14.57, 30
0 0 4, 29.39, 13
0 1 2, 30.77, 100
1 0 3, 35.01, 22
0 0 5, 36.97, 14
1 0 4, 40.30, 29
1 1 0, 47.61, 64
1 0 6, 53.00, 15
2 0 2, 57.76, 15
1 1 5, 61.76, 17

Entry 2:
Diffraction record for Na3Cu4S4. The powder XRD pattern is simulated, not measured: it uses DFT lattice parameters and positions (GGA-PBE) and CuKα.
Peak positions follow from Bragg's law for the DFT cell and can differ from measured ones.

Structure:
a b c (Å): 7.178 14.585 3.756
angles (deg): 90.00 90.00 90.00
Fractional positions:
Na  0.000  0.000  0.000
Na  0.016  0.234  0.500
Na  0.484  0.734  0.500
Na  0.500  0.500  0.000
Na  0.516  0.266  0.500
Na  0.984  0.766  0.500
Cu  0.079  0.407  0.000
Cu  0.168  0.565  0.500
Cu  0.332  0.065  0.500
Cu  0.421  0.907  0.000
Cu  0.579  0.093  0.000
Cu  0.668  0.935  0.500
Cu  0.832  0.435  0.500
Cu  0.921  0.593  0.000
S  0.217  0.653  0.000
S  0.248  0.912  0.500
S  0.252  0.412  0.500
S  0.283  0.153  0.000
S  0.717  0.847  0.000
S  0.748  0.588  0.500
S  0.752  0.088  0.500
S  0.783  0.347  0.000

Largest 10 diffraction maxima, in order of rising 2θ, 10 to 80 degrees two-theta:
(hkl), Position (°2θ), I/Imax
0 2 0, 12.14, 57
1 1 0, 13.75, 100
1 5 0, 33.15, 23
2 4 0, 35.11, 12
1 4 1, 36.56, 22
2 2 1, 36.76, 36
0 6 0, 36.98, 15
2 3 1, 39.36, 39
3 2 1, 46.71, 24
0 0 2, 48.48, 22

Copy entry 1 word for word.
Diffraction record for NaCu4S4. The powder XRD pattern is simulated, not measured: it uses DFT lattice parameters and positions (GGA-PBE) and CuKα.
Peak positions follow from Bragg's law for the DFT cell and can differ from measured ones.

Structure:
a b c (Å): 3.820 3.820 12.156
angles (deg): 90.00 90.00 120.00
Fractional positions:
Na  0.000  0.000  0.000
Cu  0.333  0.667  0.189
Cu  0.333  0.667  0.648
Cu  0.667  0.333  0.352
Cu  0.667  0.333  0.811
S  0.000  0.000  0.413
S  0.000  0.000  0.587
S  0.333  0.667  0.841
S  0.667  0.333  0.159

Largest 10 diffraction maxima, in order of rising 2θ, 10 to 80 degrees two-theta:
(hkl), Position (°2θ), I/Imax
0 0 2, 14.57, 30
0 0 4, 29.39, 13
0 1 2, 30.77, 100
1 0 3, 35.01, 22
0 0 5, 36.97, 14
1 0 4, 40.30, 29
1 1 0, 47.61, 64
1 0 6, 53.00, 15
2 0 2, 57.76, 15
1 1 5, 61.76, 17